Diffraction record for SmThPa2Ir4. The powder XRD pattern is calculated, not measured: it uses a crystal structure in Alexandria, relaxed with GGA-PBE and a wavelength of 1.5418 Å.
Lines closer than 0.1° are merged.

Atomic structure:
```
8
Lattice="0.000 5.644 4.224 3.867 0.000 4.224 3.867 5.644 0.000" Properties=species:S:1:pos:R:3 pbc="T T T"
Sm 0.000 0.000 0.000
Th 3.867 5.644 4.831
Pa 1.934 2.822 2.768
Pa 5.801 8.465 6.992
Ir 5.441 5.644 2.457
Ir 3.867 2.765 4.903
Ir 2.293 5.644 2.457
Ir 3.867 8.522 4.903
```

The 10 most intense peaks (2θ = 10–90°), by intensity:
31.4°, intensity 100
45.2°, intensity 74
31.7°, intensity 58
54.2°, intensity 18
42.8°, intensity 18
75.1°, intensity 17
57.8°, intensity 16
47.0°, intensity 15
74.6°, intensity 10
35.3°, intensity 10